(1)
# NdDy3
Calculated X-ray diffraction stick pattern, λ = 1.5418 Å (Cu Kα). Input: a GGA-PBE-relaxed structure.

The 10 most intense peaks (5° ≤ 2θ ≤ 70°), by angle:
| 2θ (°) | Rel. int. |
| --- | --- |
| 28.30 | 24 |
| 31.18 | 25 |
| 32.39 | 100 |
| 42.61 | 16 |
| 50.09 | 20 |
| 56.26 | 21 |
| 58.53 | 3 |
| 60.20 | 23 |
| 60.93 | 16 |
| 67.82 | 4 |

Structural model:
Unit cell a=7.2839 b=7.2839 c=5.7362 alpha=90.00 beta=90.00 gamma=120.00
Space group P6_3/mmc (No. 194)
Unique sites:
Nd (0.3333, 0.6667, 0.2500) x2
Dy (0.1653, 0.3306, 0.7500) x6

(2)
# Mn4P6SN12
Calculated X-ray diffraction stick pattern, λ = 1.5418 Å (Cu Kα). Input: a GGA-PBE-relaxed structure.

The 10 most intense peaks (5° ≤ 2θ ≤ 70°), by angle:
| 2θ (°) | Rel. int. |
| --- | --- |
| 15.92 | 89 |
| 16.71 | 44 |
| 27.27 | 58 |
| 32.15 | 100 |
| 33.79 | 40 |
| 42.32 | 64 |
| 43.95 | 36 |
| 44.90 | 58 |
| 51.40 | 40 |
| 67.26 | 40 |

Structural model:
Unit cell a=7.5030 b=7.5030 c=8.3058 alpha=90.00 beta=90.00 gamma=90.00
Space group I-42m (No. 121)
Unique sites:
Mn (0.1038, 0.1038, 0.1124) x8
P (0.0000, 0.5000, 0.0000) x4
P (0.2100, 0.2100, 0.7410) x8
S (0.0000, 0.0000, 0.5000) x2
N (0.1220, 0.3588, 0.1067) x16
N (0.1424, 0.1424, 0.3310) x8

(3)
# Th3Ni
Calculated X-ray diffraction stick pattern, λ = 1.5418 Å (Cu Kα). Input: a GGA-PBE-relaxed structure.

The 10 most intense peaks (5° ≤ 2θ ≤ 70°), by angle:
| 2θ (°) | Rel. int. |
| --- | --- |
| 17.89 | 5 |
| 21.15 | 13 |
| 32.75 | 100 |
| 36.24 | 19 |
| 38.85 | 32 |
| 54.17 | 25 |
| 56.11 | 11 |
| 63.00 | 16 |
| 66.51 | 27 |
| 68.65 | 12 |

Structural model:
Unit cell a=4.6363 b=4.6363 c=9.9140 alpha=90.00 beta=90.00 gamma=90.00
Space group I4/mmm (No. 139)
Unique sites:
Th (0.0000, 0.0000, 0.0000) x2
Th (0.0000, 0.5000, 0.2500) x4
Ni (0.0000, 0.0000, 0.5000) x2